# 1
Calculated XRD peak list of SrBiB2O6 for CuKα, from DFT lattice parameters and positions (GGA-PBE).

The 10 most intense peaks (10 to 90 degrees two-theta), by angle:
2θ = 17.23°, d 5.146, rel. 36; 2θ = 21.16°, d 4.199, rel. 42; 2θ = 21.95°, d 4.049, rel. 16; 2θ = 22.85°, d 3.891, rel. 50; 2θ = 27.91°, d 3.197, rel. 15; 2θ = 28.16°, d 3.169, rel. 100; 2θ = 34.26°, d 2.617, rel. 19; 2θ = 45.00°, d 2.014, rel. 17; 2θ = 45.58°, d 1.990, rel. 17; 2θ = 46.81°, d 1.941, rel. 14

Crystal structure
a = 6.6194 Å, b = 6.6194 Å, c = 6.6598 Å
α = 101.90°, β = 101.90°, γ = 96.33°
Fractional positions:
Sr 0.1188 0.8812 0.7500
Sr 0.8812 0.1188 0.2500
Bi 0.3266 0.6734 0.2500
Bi 0.6734 0.3266 0.7500
B 0.1788 0.3681 0.7736
B 0.3681 0.1788 0.2736
B 0.6319 0.8212 0.7264
B 0.8212 0.6319 0.2264
O 0.0182 0.7381 0.3431
O 0.2081 0.5691 0.8919
O 0.2436 0.3318 0.2532
O 0.2619 0.9818 0.1569
O 0.3318 0.2436 0.7532
O 0.4309 0.7919 0.6081
O 0.5691 0.2081 0.3919
O 0.6682 0.7564 0.2468
O 0.7381 0.0182 0.8431
O 0.7564 0.6682 0.7468
O 0.7919 0.4309 0.1081
O 0.9818 0.2619 0.6569

# 2
Calculated XRD peak list of BaTeO3F for CuKα, from DFT lattice parameters and positions (GGA-PBE).

The 10 most intense peaks (10 to 90 degrees two-theta), by angle:
2θ = 13.72°, d 6.454, rel. 31; 2θ = 23.51°, d 3.784, rel. 64; 2θ = 23.84°, d 3.732, rel. 100; 2θ = 26.47°, d 3.367, rel. 48; 2θ = 35.25°, d 2.546, rel. 23; 2θ = 39.12°, d 2.303, rel. 16; 2θ = 39.43°, d 2.285, rel. 14; 2θ = 39.83°, d 2.263, rel. 22; 2θ = 44.58°, d 2.032, rel. 21; 2θ = 44.79°, d 2.023, rel. 14

Crystal structure
a = 7.7380 Å, b = 7.7380 Å, c = 5.1559 Å
α = 104.79°, β = 104.79°, γ = 113.05°
Fractional positions:
Ba 0.1259 0.8741 0.7500
Ba 0.8741 0.1259 0.2500
Te 0.4286 0.5714 0.2500
Te 0.5714 0.4286 0.7500
O 0.2815 0.7185 0.2500
O 0.3090 0.3917 0.4586
O 0.3917 0.3090 0.9586
O 0.6083 0.6910 0.0414
O 0.6910 0.6083 0.5414
O 0.7185 0.2815 0.7500
F 0.0673 0.9327 0.2500
F 0.9327 0.0673 0.7500

# 3
Calculated XRD peak list of MgNb2B2Os5 for CuKα, from DFT lattice parameters and positions (GGA-PBE).

The 10 most intense peaks (10 to 90 degrees two-theta), by angle:
2θ = 29.59°, d 3.019, rel. 63; 2θ = 34.19°, d 2.622, rel. 39; 2θ = 36.57°, d 2.457, rel. 69; 2θ = 39.29°, d 2.293, rel. 100; 2θ = 40.25°, d 2.241, rel. 29; 2θ = 42.55°, d 2.125, rel. 86; 2θ = 42.77°, d 2.114, rel. 41; 2θ = 45.83°, d 1.980, rel. 55; 2θ = 75.38°, d 1.261, rel. 30; 2θ = 78.18°, d 1.223, rel. 32

Crystal structure
a = 9.4553 Å, b = 9.4553 Å, c = 3.0194 Å
α = 90.00°, β = 90.00°, γ = 90.00°
Fractional positions:
Mg 0.0000 0.0000 0.0000
Mg 0.5000 0.5000 0.0000
Nb 0.1786 0.3214 0.0000
Nb 0.3214 0.8214 0.0000
Nb 0.6786 0.1786 0.0000
Nb 0.8214 0.6786 0.0000
B 0.1249 0.6249 0.0000
B 0.3751 0.1249 0.0000
B 0.6249 0.8751 0.0000
B 0.8751 0.3751 0.0000
Os 0.0000 0.5000 0.5000
Os 0.0690 0.7816 0.5000
Os 0.2184 0.0690 0.5000
Os 0.2816 0.5690 0.5000
Os 0.4310 0.2816 0.5000
Os 0.5000 0.0000 0.5000
Os 0.5690 0.7184 0.5000
Os 0.7184 0.4310 0.5000
Os 0.7816 0.9310 0.5000
Os 0.9310 0.2184 0.5000

# 4
Calculated XRD peak list of NdMg9Au3 for CuKα, from DFT lattice parameters and positions (GGA-PBE).

The 10 most intense peaks (10 to 90 degrees two-theta), by angle:
2θ = 12.62°, d 7.016, rel. 50; 2θ = 17.89°, d 4.959, rel. 100; 2θ = 18.17°, d 4.883, rel. 42; 2θ = 25.40°, d 3.507, rel. 95; 2θ = 25.56°, d 3.485, rel. 42; 2θ = 36.23°, d 2.480, rel. 71; 2θ = 36.40°, d 2.468, rel. 35; 2θ = 36.69°, d 2.449, rel. 60; 2θ = 36.82°, d 2.441, rel. 58; 2θ = 40.69°, d 2.218, rel. 46

Crystal structure
a = 7.5537 Å, b = 7.5537 Å, c = 7.5441 Å
α = 97.86°, β = 97.86°, γ = 136.31°
Fractional positions:
Nd 0.0000 0.0000 0.0000
Mg 0.0000 0.0000 0.5000
Mg 0.0033 0.6494 0.6628
Mg 0.2942 0.5117 0.7902
Mg 0.3506 0.9967 0.3372
Mg 0.4883 0.7058 0.2098
Mg 0.5117 0.2942 0.7902
Mg 0.6494 0.0033 0.6628
Mg 0.7058 0.4883 0.2098
Mg 0.9967 0.3506 0.3372
Au 0.0000 0.5000 0.0000
Au 0.5000 0.0000 0.0000
Au 0.5000 0.5000 0.5000

# 5
Calculated XRD peak list of ReTcO4 for CuKα, from DFT lattice parameters and positions (GGA-PBE).

The 10 most intense peaks (10 to 90 degrees two-theta), by angle:
2θ = 20.41°, d 4.352, rel. 16; 2θ = 25.84°, d 3.447, rel. 100; 2θ = 33.15°, d 2.702, rel. 9; 2θ = 36.94°, d 2.433, rel. 88; 2θ = 53.19°, d 1.722, rel. 73; 2θ = 60.01°, d 1.542, rel. 17; 2θ = 66.49°, d 1.406, rel. 16; 2θ = 72.79°, d 1.299, rel. 9; 2θ = 78.52°, d 1.218, rel. 18; 2θ = 78.71°, d 1.216, rel. 5

Crystal structure
a = 5.6247 Å, b = 5.6247 Å, c = 5.6247 Å
α = 104.40°, β = 104.40°, γ = 120.17°
Fractional positions:
Re 0.0000 0.0000 0.0000
Re 0.7500 0.2500 0.5000
Tc 0.2872 0.7872 0.5000
Tc 0.5372 0.5372 0.0000
O 0.2162 0.5181 0.6981
O 0.2681 0.0700 0.8019
O 0.2681 0.4662 0.1981
O 0.2963 0.0173 0.2790
O 0.7383 0.0173 0.7210
O 0.7673 0.5463 0.7790
O 0.7673 0.9883 0.2210
O 0.8200 0.5181 0.3019

# 6
Calculated XRD peak list of TiTlSe3 for CuKα, from DFT lattice parameters and positions (GGA-PBE).

The 10 most intense peaks (10 to 90 degrees two-theta), by angle:
2θ = 21.64°, d 4.107, rel. 41; 2θ = 22.67°, d 3.923, rel. 100; 2θ = 23.50°, d 3.786, rel. 40; 2θ = 25.46°, d 3.499, rel. 45; 2θ = 27.69°, d 3.222, rel. 35; 2θ = 29.30°, d 3.049, rel. 28; 2θ = 36.40°, d 2.468, rel. 48; 2θ = 37.05°, d 2.426, rel. 93; 2θ = 38.74°, d 2.324, rel. 28; 2θ = 44.89°, d 2.019, rel. 30

Crystal structure
a = 8.1770 Å, b = 8.1770 Å, c = 8.6167 Å
α = 103.51°, β = 103.51°, γ = 34.54°
Fractional positions:
Ti 0.1617 0.1617 0.3765
Ti 0.8383 0.8383 0.6235
Tl 0.3666 0.3666 0.1590
Tl 0.6334 0.6334 0.8410
Se 0.0020 0.0020 0.6394
Se 0.1506 0.1506 0.1060
Se 0.3272 0.3272 0.5153
Se 0.6728 0.6728 0.4847
Se 0.8494 0.8494 0.8940
Se 0.9980 0.9980 0.3606

# 7
Calculated XRD peak list of RbAlPb2Cl8 for CuKα, from DFT lattice parameters and positions (GGA-PBE).

The 10 most intense peaks (10 to 90 degrees two-theta), by angle:
2θ = 13.42°, d 6.597, rel. 54; 2θ = 13.94°, d 6.353, rel. 41; 2θ = 19.09°, d 4.650, rel. 100; 2θ = 19.71°, d 4.505, rel. 95; 2θ = 24.30°, d 3.663, rel. 53; 2θ = 24.54°, d 3.627, rel. 46; 2θ = 24.65°, d 3.612, rel. 47; 2θ = 30.92°, d 2.892, rel. 41; 2θ = 36.52°, d 2.460, rel. 37; 2θ = 37.21°, d 2.416, rel. 55

Crystal structure
a = 6.3564 Å, b = 6.6000 Å, c = 8.8080 Å
α = 89.95°, β = 89.75°, γ = 88.18°
Fractional positions:
Rb 0.0000 0.0000 0.0000
Al 0.0000 0.0000 0.5000
Pb 0.4990 0.5000 0.2617
Pb 0.5010 0.5000 0.7383
Cl 0.2143 0.8531 0.6885
Cl 0.2165 0.8551 0.3102
Cl 0.2185 0.2938 0.5006
Cl 0.2700 0.3881 0.0007
Cl 0.7300 0.6119 0.9993
Cl 0.7815 0.7062 0.4994
Cl 0.7835 0.1449 0.6898
Cl 0.7857 0.1469 0.3115

# 8
Calculated XRD peak list of PrMn4Si2 for CuKα, from DFT lattice parameters and positions (GGA-PBE).

The 10 most intense peaks (10 to 90 degrees two-theta), by angle:
2θ = 26.43°, d 3.372, rel. 22; 2θ = 26.91°, d 3.313, rel. 23; 2θ = 30.39°, d 2.941, rel. 26; 2θ = 32.94°, d 2.719, rel. 25; 2θ = 35.49°, d 2.530, rel. 24; 2θ = 38.27°, d 2.352, rel. 100; 2θ = 41.04°, d 2.199, rel. 18; 2θ = 46.06°, d 1.971, rel. 28; 2θ = 46.36°, d 1.959, rel. 28; 2θ = 59.04°, d 1.564, rel. 29

Crystal structure
a = 6.9129 Å, b = 6.9129 Å, c = 3.9173 Å
α = 90.00°, β = 90.00°, γ = 146.88°
Fractional positions:
Pr 0.0000 0.0000 0.0000
Mn 0.2025 0.7975 0.5000
Mn 0.2975 0.7025 0.0000
Mn 0.7025 0.2975 0.0000
Mn 0.7975 0.2025 0.5000
Si 0.4012 0.5988 0.5000
Si 0.5988 0.4012 0.5000

# 9
Calculated XRD peak list of LiTcSb4 for CuKα, from DFT lattice parameters and positions (GGA-PBE).

The 10 most intense peaks (10 to 90 degrees two-theta), by angle:
2θ = 14.15°, d 6.260, rel. 44; 2θ = 28.52°, d 3.130, rel. 31; 2θ = 31.37°, d 2.852, rel. 90; 2θ = 34.59°, d 2.593, rel. 34; 2θ = 37.52°, d 2.397, rel. 100; 2θ = 39.84°, d 2.263, rel. 38; 2θ = 43.71°, d 2.071, rel. 41; 2θ = 60.67°, d 1.526, rel. 31; 2θ = 62.57°, d 1.485, rel. 16; 2θ = 67.68°, d 1.384, rel. 26

Crystal structure
a = 7.7867 Å, b = 7.7867 Å, c = 7.7867 Å
α = 130.26°, β = 130.26°, γ = 72.99°
Fractional positions:
Li 0.0000 0.0000 0.0000
Li 0.5000 0.5000 0.0000
Tc 0.2500 0.2500 0.0000
Tc 0.7500 0.7500 0.0000
Sb 0.0217 0.5217 0.8212
Sb 0.2006 0.0217 0.5000
Sb 0.2994 0.7994 0.8212
Sb 0.4783 0.2994 0.5000
Sb 0.5217 0.7006 0.5000
Sb 0.7006 0.2006 0.1788
Sb 0.7994 0.9783 0.5000
Sb 0.9783 0.4783 0.1788

# 10
Calculated XRD peak list of In3Sb2 for CuKα, from DFT lattice parameters and positions (GGA-PBE).

The 10 most intense peaks (10 to 90 degrees two-theta), by angle:
2θ = 16.21°, d 5.468, rel. 21; 2θ = 23.44°, d 3.796, rel. 23; 2θ = 26.95°, d 3.308, rel. 100; 2θ = 29.33°, d 3.045, rel. 31; 2θ = 32.76°, d 2.734, rel. 60; 2θ = 35.13°, d 2.555, rel. 36; 2θ = 39.61°, d 2.275, rel. 48; 2θ = 40.14°, d 2.246, rel. 62; 2θ = 41.71°, d 2.166, rel. 28; 2θ = 42.91°, d 2.107, rel. 20

Crystal structure
a = 7.6019 Å, b = 7.6019 Å, c = 7.6019 Å
α = 62.45°, β = 62.45°, γ = 62.45°
Fractional positions:
In 0.0122 0.7500 0.4878
In 0.2500 0.5122 0.9878
In 0.4878 0.0122 0.7500
In 0.5122 0.9878 0.2500
In 0.7500 0.4878 0.0122
In 0.9878 0.2500 0.5122
Sb 0.1216 0.1216 0.1216
Sb 0.3784 0.3784 0.3784
Sb 0.6216 0.6216 0.6216
Sb 0.8784 0.8784 0.8784

# 11
Calculated XRD peak list of Th4MnPd for CuKα, from DFT lattice parameters and positions (GGA-PBE).

The 10 most intense peaks (10 to 90 degrees two-theta), by angle:
2θ = 30.10°, d 2.969, rel. 17; 2θ = 31.54°, d 2.837, rel. 100; 2θ = 34.96°, d 2.567, rel. 13; 2θ = 39.29°, d 2.293, rel. 23; 2θ = 39.47°, d 2.283, rel. 22; 2θ = 54.36°, d 1.688, rel. 22; 2θ = 54.64°, d 1.680, rel. 21; 2θ = 62.95°, d 1.477, rel. 17; 2θ = 72.00°, d 1.312, rel. 9; 2θ = 87.50°, d 1.115, rel. 9

Crystal structure
a = 7.2203 Å, b = 7.2203 Å, c = 5.9384 Å
α = 90.00°, β = 90.00°, γ = 90.00°
Fractional positions:
Th 0.1563 0.3225 0.0000
Th 0.1563 0.6775 0.5000
Th 0.3225 0.1563 0.5000
Th 0.3225 0.8437 0.0000
Th 0.6775 0.1563 0.0000
Th 0.6775 0.8437 0.5000
Th 0.8437 0.3225 0.5000
Th 0.8437 0.6775 0.0000
Mn 0.0000 0.0000 0.2500
Mn 0.0000 0.0000 0.7500
Pd 0.5000 0.5000 0.2500
Pd 0.5000 0.5000 0.7500

# 12
Calculated XRD peak list of AcSm6Dy4 for CuKα, from DFT lattice parameters and positions (GGA-PBE).

The 10 most intense peaks (10 to 90 degrees two-theta), by angle:
2θ = 27.64°, d 3.227, rel. 27; 2θ = 29.94°, d 2.984, rel. 81; 2θ = 30.05°, d 2.974, rel. 100; 2θ = 30.38°, d 2.942, rel. 72; 2θ = 31.35°, d 2.853, rel. 84; 2θ = 31.55°, d 2.836, rel. 87; 2θ = 32.88°, d 2.724, rel. 72; 2θ = 43.26°, d 2.092, rel. 55; 2θ = 53.84°, d 1.703, rel. 19; 2θ = 56.49°, d 1.629, rel. 25

Crystal structure
a = 5.7132 Å, b = 5.7132 Å, c = 25.8180 Å
α = 90.00°, β = 90.00°, γ = 117.26°
Fractional positions:
Ac 0.2199 0.7801 0.7500
Ac 0.7801 0.2199 0.2500
Sm 0.1150 0.8850 0.1791
Sm 0.1150 0.8850 0.3209
Sm 0.2050 0.7950 0.5976
Sm 0.2050 0.7950 0.9024
Sm 0.4383 0.5617 0.2500
Sm 0.5000 0.5000 0.0000
Sm 0.5000 0.5000 0.5000
Sm 0.5617 0.4383 0.7500
Sm 0.7950 0.2050 0.0976
Sm 0.7950 0.2050 0.4024
Sm 0.8850 0.1150 0.6791
Sm 0.8850 0.1150 0.8209
Dy 0.1483 0.8517 0.0425
Dy 0.1483 0.8517 0.4575
Dy 0.4486 0.5514 0.1231
Dy 0.4486 0.5514 0.3769
Dy 0.5514 0.4486 0.6231
Dy 0.5514 0.4486 0.8769
Dy 0.8517 0.1483 0.5425
Dy 0.8517 0.1483 0.9575